Record 1
# TiNb2S3
Calculated powder X-ray diffraction pattern, Cu Ka. Input: a cell relaxed with GGA-PBE.

Main lines, by angle (10 to 90 degrees two-theta):
d (Å)	I_rel
4.940	11
3.298	13
2.852	49
2.743	6
2.618	16
2.157	100
1.741	4
1.647	37
1.473	7
1.427	17
1.309	18
1.165	17

Atomic structure:
```
data_TiNb2S3
_cell_length_a 5.7043
_cell_length_b 5.7043
_cell_length_c 6.5970
_cell_angle_alpha 90.00
_cell_angle_beta 90.00
_cell_angle_gamma 120.00
_space_group_name_H-M_alt 'P 1'
_space_group_IT_number 1
loop_
_space_group_symop_operation_xyz
'x,y,z'
loop_
_atom_site_label
_atom_site_type_symbol
_atom_site_fract_x
_atom_site_fract_y
_atom_site_fract_z
_atom_site_occupancy
Ti1 Ti 0.0000 0.0000 0.0000 1
Ti2 Ti 0.0000 0.0000 0.5000 1
Nb1 Nb 0.3333 0.6667 0.0000 1
Nb2 Nb 0.3333 0.6667 0.5000 1
Nb3 Nb 0.6667 0.3333 0.0000 1
Nb4 Nb 0.6667 0.3333 0.5000 1
S1 S 0.0000 0.3249 0.2500 1
S2 S 0.0000 0.6751 0.7500 1
S3 S 0.3249 0.0000 0.2500 1
S4 S 0.3249 0.3249 0.7500 1
S5 S 0.6751 0.0000 0.7500 1
S6 S 0.6751 0.6751 0.2500 1
```

***

Record 2
# Nb4Tl2S7
Calculated powder X-ray diffraction pattern, Cu Ka. Input: a cell relaxed with GGA-PBE.

Main lines, by angle (10 to 90 degrees two-theta):
d (Å)	I_rel
4.480	24
4.279	20
3.319	48
3.036	100
2.857	35
2.476	83
2.240	29
2.079	18
1.802	20
1.753	34
1.749	19
1.291	17

Atomic structure:
```
data_Nb4Tl2S7
_cell_length_a 6.0715
_cell_length_b 6.0715
_cell_length_c 8.5590
_cell_angle_alpha 90.00
_cell_angle_beta 90.00
_cell_angle_gamma 120.00
_space_group_name_H-M_alt 'P 1'
_space_group_IT_number 1
loop_
_space_group_symop_operation_xyz
'x,y,z'
loop_
_atom_site_label
_atom_site_type_symbol
_atom_site_fract_x
_atom_site_fract_y
_atom_site_fract_z
_atom_site_occupancy
Nb1 Nb 0.0000 0.0000 0.1613 1
Nb2 Nb 0.0000 0.0000 0.8387 1
Nb3 Nb 0.3333 0.6667 0.0000 1
Nb4 Nb 0.6667 0.3333 0.0000 1
Tl1 Tl 0.3333 0.6667 0.5000 1
Tl2 Tl 0.6667 0.3333 0.5000 1
S1 S 0.0000 0.0000 0.5000 1
S2 S 0.0000 0.3894 0.8007 1
S3 S 0.0000 0.6106 0.1993 1
S4 S 0.3894 0.0000 0.8007 1
S5 S 0.3894 0.3894 0.1993 1
S6 S 0.6106 0.0000 0.1993 1
S7 S 0.6106 0.6106 0.8007 1
```

***

Record 3
# Nb2Tl4S11
Calculated powder X-ray diffraction pattern, Cu Ka. Input: a cell relaxed with GGA-PBE.

Main lines, by angle (10 to 90 degrees two-theta):
d (Å)	I_rel
5.053	56
4.554	93
4.045	40
3.875	40
3.849	67
3.764	100
3.258	39
3.043	44
2.991	61
2.911	66
2.847	61
2.277	38

Atomic structure:
```
data_Nb2Tl4S11
_cell_length_a 8.1270
_cell_length_b 9.1452
_cell_length_c 13.4602
_cell_angle_alpha 72.20
_cell_angle_beta 89.16
_cell_angle_gamma 85.28
_space_group_name_H-M_alt 'P 1'
_space_group_IT_number 1
loop_
_space_group_symop_operation_xyz
'x,y,z'
loop_
_atom_site_label
_atom_site_type_symbol
_atom_site_fract_x
_atom_site_fract_y
_atom_site_fract_z
_atom_site_occupancy
Nb1 Nb 0.1238 0.3607 0.3068 1
Nb2 Nb 0.3318 0.1110 0.1901 1
Nb3 Nb 0.6682 0.8890 0.8099 1
Nb4 Nb 0.8762 0.6393 0.6932 1
Tl1 Tl 0.0504 0.7599 0.9763 1
Tl2 Tl 0.2145 0.9675 0.5753 1
Tl3 Tl 0.2334 0.4224 0.5852 1
Tl4 Tl 0.4985 0.2658 0.8888 1
Tl5 Tl 0.5015 0.7342 0.1112 1
Tl6 Tl 0.7665 0.5776 0.4148 1
Tl7 Tl 0.7855 0.0325 0.4247 1
Tl8 Tl 0.9496 0.2401 0.0237 1
S1 S 0.0070 0.7120 0.5332 1
S2 S 0.0412 0.1358 0.2522 1
S3 S 0.0479 0.6406 0.2481 1
S4 S 0.1011 0.4888 0.8119 1
S5 S 0.2710 0.0419 0.0442 1
S6 S 0.2718 0.3967 0.1131 1
S7 S 0.3589 0.8693 0.3336 1
S8 S 0.3872 0.1914 0.3721 1
S9 S 0.3921 0.4250 0.3541 1
S10 S 0.4203 0.0726 0.7435 1
S11 S 0.4821 0.6847 0.8816 1
S12 S 0.5179 0.3153 0.1184 1
S13 S 0.5797 0.9274 0.2565 1
S14 S 0.6079 0.5750 0.6459 1
S15 S 0.6128 0.8086 0.6279 1
S16 S 0.6411 0.1307 0.6664 1
S17 S 0.7282 0.6033 0.8869 1
S18 S 0.7290 0.9581 0.9558 1
S19 S 0.8989 0.5112 0.1881 1
S20 S 0.9521 0.3594 0.7519 1
S21 S 0.9588 0.8642 0.7478 1
S22 S 0.9930 0.2880 0.4668 1
```

***

Record 4
# Nb5TlS8
Calculated powder X-ray diffraction pattern, Cu Ka. Input: a cell relaxed with GGA-PBE.

Main lines, by angle (10 to 90 degrees two-theta):
d (Å)	I_rel
4.509	96
4.359	47
3.035	41
2.865	66
2.777	35
2.649	76
2.593	49
2.398	34
2.238	100
2.172	52
1.704	55
1.672	34

Atomic structure:
```
data_Nb5TlS8
_cell_length_a 9.0788
_cell_length_b 9.0788
_cell_length_c 9.3560
_cell_angle_alpha 105.18
_cell_angle_beta 105.18
_cell_angle_gamma 21.22
_space_group_name_H-M_alt 'P 1'
_space_group_IT_number 1
loop_
_space_group_symop_operation_xyz
'x,y,z'
loop_
_atom_site_label
_atom_site_type_symbol
_atom_site_fract_x
_atom_site_fract_y
_atom_site_fract_z
_atom_site_occupancy
Nb1 Nb 0.0000 0.0000 0.0000 1
Nb2 Nb 0.2890 0.2890 0.6312 1
Nb3 Nb 0.3281 0.3281 0.0036 1
Nb4 Nb 0.6719 0.6719 0.9964 1
Nb5 Nb 0.7110 0.7110 0.3688 1
Tl1 Tl 0.5000 0.5000 0.5000 1
S1 S 0.0865 0.0865 0.8277 1
S2 S 0.1501 0.1501 0.4972 1
S3 S 0.2488 0.2488 0.1856 1
S4 S 0.4185 0.4185 0.8311 1
S5 S 0.5815 0.5815 0.1689 1
S6 S 0.7512 0.7512 0.8144 1
S7 S 0.8499 0.8499 0.5028 1
S8 S 0.9135 0.9135 0.1723 1
```

***

Record 5
# Nb4VS8
Calculated powder X-ray diffraction pattern, Cu Ka. Input: a cell relaxed with GGA-PBE.

Main lines, by angle (10 to 90 degrees two-theta):
d (Å)	I_rel
6.133	87
2.897	36
2.819	19
2.619	70
2.364	13
2.106	100
1.672	50
1.614	14
1.410	10
1.310	20
1.294	9
1.130	25

Atomic structure:
```
data_Nb4VS8
_cell_length_a 6.6899
_cell_length_b 6.6899
_cell_length_c 12.2659
_cell_angle_alpha 90.00
_cell_angle_beta 90.00
_cell_angle_gamma 120.00
_space_group_name_H-M_alt 'P 1'
_space_group_IT_number 1
loop_
_space_group_symop_operation_xyz
'x,y,z'
loop_
_atom_site_label
_atom_site_type_symbol
_atom_site_fract_x
_atom_site_fract_y
_atom_site_fract_z
_atom_site_occupancy
Nb1 Nb 0.0000 0.0000 0.2500 1
Nb2 Nb 0.0000 0.0000 0.7500 1
Nb3 Nb 0.0101 0.5050 0.2500 1
Nb4 Nb 0.4950 0.5050 0.2500 1
Nb5 Nb 0.4950 0.9899 0.2500 1
Nb6 Nb 0.5050 0.0101 0.7500 1
Nb7 Nb 0.5050 0.4950 0.7500 1
Nb8 Nb 0.9899 0.4950 0.7500 1
V1 V 0.0000 0.0000 0.0000 1
V2 V 0.0000 0.0000 0.5000 1
S1 S 0.1659 0.3317 0.6213 1
S2 S 0.1659 0.3317 0.8787 1
S3 S 0.1659 0.8341 0.6213 1
S4 S 0.1659 0.8341 0.8787 1
S5 S 0.3317 0.1659 0.1213 1
S6 S 0.3317 0.1659 0.3787 1
S7 S 0.3333 0.6667 0.1198 1
S8 S 0.3333 0.6667 0.3802 1
S9 S 0.6667 0.3333 0.6198 1
S10 S 0.6667 0.3333 0.8802 1
S11 S 0.6683 0.8341 0.6213 1
S12 S 0.6683 0.8341 0.8787 1
S13 S 0.8341 0.1659 0.1213 1
S14 S 0.8341 0.1659 0.3787 1
S15 S 0.8341 0.6683 0.1213 1
S16 S 0.8341 0.6683 0.3787 1
```

***

Record 6
# Nb5V3S20
Calculated powder X-ray diffraction pattern, Cu Ka. Input: a cell relaxed with GGA-PBE.

Main lines, by angle (10 to 90 degrees two-theta):
d (Å)	I_rel
8.744	100
8.162	32
5.367	66
4.968	27
2.747	84
2.483	24
2.305	29
2.204	24
2.116	17
2.055	19
1.999	14
1.684	19

Atomic structure:
```
data_Nb5V3S20
_cell_length_a 10.1045
_cell_length_b 10.1045
_cell_length_c 10.7511
_cell_angle_alpha 119.09
_cell_angle_beta 119.09
_cell_angle_gamma 38.94
_space_group_name_H-M_alt 'P 1'
_space_group_IT_number 1
loop_
_space_group_symop_operation_xyz
'x,y,z'
loop_
_atom_site_label
_atom_site_type_symbol
_atom_site_fract_x
_atom_site_fract_y
_atom_site_fract_z
_atom_site_occupancy
Nb1 Nb 0.0000 0.0000 0.0000 1
Nb2 Nb 0.3233 0.8219 0.7342 1
Nb3 Nb 0.5010 0.5010 0.9994 1
Nb4 Nb 0.8219 0.3233 0.7342 1
Nb5 Nb 0.8590 0.8590 0.4537 1
V1 V 0.3624 0.3624 0.4635 1
V2 V 0.4364 0.9757 0.2623 1
V3 V 0.9757 0.4364 0.2623 1
S1 S 0.0457 0.5338 0.5159 1
S2 S 0.1155 0.1155 0.2722 1
S3 S 0.1264 0.1264 0.6262 1
S4 S 0.1339 0.6327 0.8842 1
S5 S 0.1896 0.1896 0.8481 1
S6 S 0.1969 0.6944 0.1062 1
S7 S 0.2118 0.7001 0.4636 1
S8 S 0.2813 0.2813 0.2116 1
S9 S 0.3475 0.8506 0.9994 1
S10 S 0.4728 0.4728 0.7315 1
S11 S 0.5338 0.0457 0.5159 1
S12 S 0.6210 0.6210 0.2644 1
S13 S 0.6286 0.6286 0.6292 1
S14 S 0.6327 0.1339 0.8842 1
S15 S 0.6899 0.6899 0.8512 1
S16 S 0.6944 0.1969 0.1062 1
S17 S 0.7001 0.2118 0.4636 1
S18 S 0.7730 0.7730 0.2025 1
S19 S 0.8506 0.3475 0.9994 1
S20 S 0.9742 0.9742 0.7354 1
```

***

Record 7
# NbV3S
Calculated powder X-ray diffraction pattern, Cu Ka. Input: a cell relaxed with GGA-PBE.

Main lines, by angle (10 to 90 degrees two-theta):
d (Å)	I_rel
3.897	8
3.063	15
2.543	21
2.478	16
2.306	100
2.227	12
2.120	16
2.091	10
1.774	17
1.632	9
1.517	9
1.418	10

Atomic structure:
```
data_NbV3S
_cell_length_a 6.0666
_cell_length_b 4.9552
_cell_length_c 5.0850
_cell_angle_alpha 90.00
_cell_angle_beta 90.00
_cell_angle_gamma 90.00
_space_group_name_H-M_alt 'P 1'
_space_group_IT_number 1
loop_
_space_group_symop_operation_xyz
'x,y,z'
loop_
_atom_site_label
_atom_site_type_symbol
_atom_site_fract_x
_atom_site_fract_y
_atom_site_fract_z
_atom_site_occupancy
Nb1 Nb 0.0000 0.1922 0.0000 1
Nb2 Nb 0.5000 0.8078 0.5000 1
V1 V 0.0000 0.8408 0.6264 1
V2 V 0.2498 0.2607 0.5471 1
V3 V 0.2502 0.7393 0.0471 1
V4 V 0.5000 0.1592 0.1264 1
V5 V 0.7502 0.2607 0.5471 1
V6 V 0.7498 0.7393 0.0471 1
S1 S 0.0000 0.5281 0.3221 1
S2 S 0.5000 0.4719 0.8221 1
```

***

Record 8
# NbW3S8
Calculated powder X-ray diffraction pattern, Cu Ka. Input: a cell relaxed with GGA-PBE.

Main lines, by angle (10 to 90 degrees two-theta):
d (Å)	I_rel
6.699	100
3.350	6
2.803	17
2.743	23
2.585	15
2.374	49
1.937	31
1.618	13
1.581	7
1.573	13
1.242	7
1.164	6

Atomic structure:
```
data_NbW3S8
_cell_length_a 3.2332
_cell_length_b 13.3989
_cell_length_c 5.6103
_cell_angle_alpha 90.00
_cell_angle_beta 90.00
_cell_angle_gamma 90.00
_space_group_name_H-M_alt 'P 1'
_space_group_IT_number 1
loop_
_space_group_symop_operation_xyz
'x,y,z'
loop_
_atom_site_label
_atom_site_type_symbol
_atom_site_fract_x
_atom_site_fract_y
_atom_site_fract_z
_atom_site_occupancy
Nb1 Nb 0.0000 0.0000 0.0000 1
W1 W 0.0000 0.5000 0.6617 1
W2 W 0.5000 0.0000 0.4909 1
W3 W 0.5000 0.5000 0.1617 1
S1 S 0.0000 0.1161 0.6560 1
S2 S 0.0000 0.3839 0.9949 1
S3 S 0.0000 0.6161 0.9949 1
S4 S 0.0000 0.8839 0.6560 1
S5 S 0.5000 0.1191 0.1672 1
S6 S 0.5000 0.3839 0.4949 1
S7 S 0.5000 0.6161 0.4949 1
S8 S 0.5000 0.8809 0.1672 1
```

***

Record 9
# Nb2WS3
Calculated powder X-ray diffraction pattern, Cu Ka. Input: a cell relaxed with GGA-PBE.

Main lines, by angle (10 to 90 degrees two-theta):
d (Å)	I_rel
5.206	29
3.302	100
2.885	18
2.759	87
2.476	29
2.093	17
2.086	14
2.037	27
1.879	47
1.652	15
1.626	19
1.418	16

Atomic structure:
```
data_Nb2WS3
_cell_length_a 6.8743
_cell_length_b 6.8743
_cell_length_c 6.8743
_cell_angle_alpha 153.59
_cell_angle_beta 57.09
_cell_angle_gamma 130.37
_space_group_name_H-M_alt 'P 1'
_space_group_IT_number 1
loop_
_space_group_symop_operation_xyz
'x,y,z'
loop_
_atom_site_label
_atom_site_type_symbol
_atom_site_fract_x
_atom_site_fract_y
_atom_site_fract_z
_atom_site_occupancy
Nb1 Nb 0.1945 0.0000 0.1945 1
Nb2 Nb 0.8055 0.0000 0.8055 1
W1 W 0.5920 0.0920 0.5000 1
S1 S 0.1619 0.7945 0.3675 1
S2 S 0.4270 0.7945 0.6325 1
S3 S 0.8891 0.8891 0.0000 1
```

***

Record 10
# ZrNb2S5
Calculated powder X-ray diffraction pattern, Cu Ka. Input: a cell relaxed with GGA-PBE.

Main lines, by angle (10 to 90 degrees two-theta):
d (Å)	I_rel
6.723	100
6.569	5
3.361	6
3.111	10
2.603	32
2.341	12
2.211	11
2.190	7
2.082	6
2.058	20
1.599	5
1.290	6

Atomic structure:
```
data_ZrNb2S5
_cell_length_a 9.3990
_cell_length_b 7.1185
_cell_length_c 6.9732
_cell_angle_alpha 83.66
_cell_angle_beta 48.83
_cell_angle_gamma 47.51
_space_group_name_H-M_alt 'P 1'
_space_group_IT_number 1
loop_
_space_group_symop_operation_xyz
'x,y,z'
loop_
_atom_site_label
_atom_site_type_symbol
_atom_site_fract_x
_atom_site_fract_y
_atom_site_fract_z
_atom_site_occupancy
Zr1 Zr 0.0000 0.0000 0.0000 1
Nb1 Nb 0.3118 0.6882 0.3118 1
Nb2 Nb 0.6882 0.3118 0.6882 1
S1 S 0.0488 0.7195 0.2805 1
S2 S 0.2805 0.9512 0.0488 1
S3 S 0.5000 0.5000 0.5000 1
S4 S 0.7195 0.0488 0.9512 1
S5 S 0.9512 0.2805 0.7195 1
```

***

Record 11
# ZrNbS3
Calculated powder X-ray diffraction pattern, Cu Ka. Input: a cell relaxed with GGA-PBE.

Main lines, by angle (10 to 90 degrees two-theta):
d (Å)	I_rel
8.127	39
6.670	72
5.078	26
3.120	39
3.032	77
2.538	59
2.372	100
2.219	39
2.179	70
2.127	27
1.784	32
1.734	29

Atomic structure:
```
data_ZrNbS3
_cell_length_a 8.3143
_cell_length_b 8.3143
_cell_length_c 6.6731
_cell_angle_alpha 91.78
_cell_angle_beta 91.78
_cell_angle_gamma 24.08
_space_group_name_H-M_alt 'P 1'
_space_group_IT_number 1
loop_
_space_group_symop_operation_xyz
'x,y,z'
loop_
_atom_site_label
_atom_site_type_symbol
_atom_site_fract_x
_atom_site_fract_y
_atom_site_fract_z
_atom_site_occupancy
Zr1 Zr 0.0832 0.0832 0.0961 1
Zr2 Zr 0.9168 0.9168 0.9039 1
Nb1 Nb 0.3013 0.3013 0.2625 1
Nb2 Nb 0.6987 0.6987 0.7375 1
S1 S 0.1618 0.1618 0.4796 1
S2 S 0.3020 0.3020 0.8888 1
S3 S 0.4566 0.4566 0.1944 1
S4 S 0.5434 0.5434 0.8056 1
S5 S 0.6980 0.6980 0.1112 1
S6 S 0.8382 0.8382 0.5204 1
```

***

Record 12
# Nb2SiSb2
Calculated powder X-ray diffraction pattern, Cu Ka. Input: a cell relaxed with GGA-PBE.

Main lines, by angle (10 to 90 degrees two-theta):
d (Å)	I_rel
3.560	29
2.878	100
2.848	30
2.238	32
2.035	37
2.024	44
1.767	16
1.656	23
1.439	12
1.386	11
1.287	16
1.173	15

Atomic structure:
```
data_Nb2SiSb2
_cell_length_a 2.8784
_cell_length_b 2.8784
_cell_length_c 14.2382
_cell_angle_alpha 90.00
_cell_angle_beta 90.00
_cell_angle_gamma 90.00
_space_group_name_H-M_alt 'P 1'
_space_group_IT_number 1
loop_
_space_group_symop_operation_xyz
'x,y,z'
loop_
_atom_site_label
_atom_site_type_symbol
_atom_site_fract_x
_atom_site_fract_y
_atom_site_fract_z
_atom_site_occupancy
Nb1 Nb 0.0000 0.0000 0.1761 1
Nb2 Nb 0.0000 0.0000 0.8239 1
Si1 Si 0.0000 0.0000 0.0000 1
Sb1 Sb 0.0000 0.0000 0.3793 1
Sb2 Sb 0.0000 0.0000 0.6207 1
```